Computed X-ray diffraction stick pattern
Compound: ZrGa4Mo
Radiation: CuKα
Structure: a crystal structure in Alexandria, relaxed with PBE
No peak broadening, texture or thermal motion is included.

Atomic structure:
Cell lengths 6.832, 5.648, 5.863 Å; angles 90.00, 90.19, 90.00 degrees
Sites, in units of the cell vectors:
Zr 0.000 0.156 0.250
Zr 0.000 0.844 0.750
Ga 0.211 0.493 0.994
Ga 0.211 0.507 0.494
Ga 0.317 0.006 0.506
Ga 0.317 0.994 0.006
Ga 0.683 0.006 0.994
Ga 0.683 0.994 0.494
Ga 0.789 0.493 0.506
Ga 0.789 0.507 0.006
Mo 0.500 0.340 0.250
Mo 0.500 0.660 0.750

Largest 10 diffraction maxima, low angle first, 2θ = 15–90°:
- 21.85 deg, d = 4.068 Å, I 100
- 31.68 deg, d = 2.824 Å, I 35
- 34.28 deg, d = 2.616 Å, I 63
- 36.98 deg, d = 2.431 Å, I 80
- 37.72 deg, d = 2.385 Å, I 58
- 40.48 deg, d = 2.228 Å, I 71
- 40.62 deg, d = 2.221 Å, I 62
- 41.49 deg, d = 2.177 Å, I 66
- 42.81 deg, d = 2.112 Å, I 76
- 44.55 deg, d = 2.034 Å, I 79

---

Computed X-ray diffraction stick pattern
Compound: GaN
Radiation: CuKα
Structure: a crystal structure in Alexandria, relaxed with PBE
No peak broadening, texture or thermal motion is included.

Atomic structure:
Cell lengths 5.567, 5.567, 5.567 Å; angles 90.00, 90.00, 90.00 degrees
Sites, in units of the cell vectors:
Ga 0.000 0.250 0.500
Ga 0.000 0.750 0.500
Ga 0.250 0.500 0.000
Ga 0.500 0.000 0.250
Ga 0.500 0.000 0.750
Ga 0.750 0.500 0.000
N 0.000 0.500 0.250
N 0.000 0.500 0.750
N 0.250 0.000 0.500
N 0.500 0.250 0.000
N 0.500 0.750 0.000
N 0.750 0.000 0.500

Largest 10 diffraction maxima, low angle first, 2θ = 15–90°:
- 22.59 deg, d = 3.937 Å, I 91
- 32.15 deg, d = 2.784 Å, I 18
- 36.07 deg, d = 2.490 Å, I 100
- 39.65 deg, d = 2.273 Å, I 40
- 51.94 deg, d = 1.761 Å, I 17
- 57.33 deg, d = 1.607 Å, I 37
- 59.90 deg, d = 1.544 Å, I 24
- 62.41 deg, d = 1.488 Å, I 19
- 67.27 deg, d = 1.392 Å, I 17
- 78.77 deg, d = 1.215 Å, I 22

---

Computed X-ray diffraction stick pattern
Compound: Na3GaN2
Radiation: CuKα
Structure: a crystal structure in Alexandria, relaxed with PBE
No peak broadening, texture or thermal motion is included.

Atomic structure:
Cell lengths 8.544, 8.544, 8.544 Å; angles 123.41, 123.41, 84.19 degrees
Sites, in units of the cell vectors:
Na 0.000 0.250 0.750
Na 0.000 0.750 0.250
Na 0.141 0.391 0.283
Na 0.141 0.859 0.750
Na 0.250 0.000 0.250
Na 0.391 0.141 0.783
Na 0.391 0.609 0.250
Na 0.609 0.391 0.750
Na 0.609 0.859 0.217
Na 0.750 0.000 0.750
Na 0.859 0.141 0.250
Na 0.859 0.609 0.717
Ga 0.238 0.488 0.750
Ga 0.488 0.238 0.250
Ga 0.512 0.762 0.750
Ga 0.762 0.512 0.250
N 0.229 0.261 0.532
N 0.229 0.697 0.968
N 0.261 0.229 0.032
N 0.303 0.771 0.532
N 0.697 0.229 0.468
N 0.739 0.771 0.968
N 0.771 0.303 0.032
N 0.771 0.739 0.468

Largest 10 diffraction maxima, low angle first, 2θ = 15–90°:
- 21.95 deg, d = 4.050 Å, I 22
- 23.75 deg, d = 3.747 Å, I 19
- 25.58 deg, d = 3.483 Å, I 12
- 28.15 deg, d = 3.170 Å, I 12
- 31.24 deg, d = 2.864 Å, I 51
- 32.56 deg, d = 2.750 Å, I 14
- 35.98 deg, d = 2.496 Å, I 100
- 44.76 deg, d = 2.025 Å, I 34
- 58.71 deg, d = 1.573 Å, I 40
- 67.55 deg, d = 1.387 Å, I 10

---

Computed X-ray diffraction stick pattern
Compound: Na4Pa3GaN8
Radiation: CuKα
Structure: a crystal structure in Alexandria, relaxed with PBE
No peak broadening, texture or thermal motion is included.

Atomic structure:
Cell lengths 7.071, 7.071, 6.900 Å; angles 119.00, 119.00, 56.41 degrees
Sites, in units of the cell vectors:
Na 0.000 0.000 0.000
Na 0.000 0.500 0.000
Na 0.500 0.000 0.000
Na 0.500 0.500 0.000
Pa 0.000 0.000 0.500
Pa 0.000 0.500 0.500
Pa 0.500 0.000 0.500
Ga 0.500 0.500 0.500
N 0.226 0.226 0.691
N 0.238 0.238 0.283
N 0.241 0.717 0.682
N 0.283 0.759 0.318
N 0.717 0.241 0.682
N 0.759 0.283 0.318
N 0.762 0.762 0.717
N 0.774 0.774 0.309

Largest 10 diffraction maxima, low angle first, 2θ = 15–90°:
- 15.38 deg, d = 5.761 Å, I 100
- 28.85 deg, d = 3.095 Å, I 20
- 30.96 deg, d = 2.888 Å, I 32
- 31.04 deg, d = 2.881 Å, I 22
- 31.16 deg, d = 2.870 Å, I 21
- 31.82 deg, d = 2.812 Å, I 39
- 34.47 deg, d = 2.602 Å, I 26
- 37.46 deg, d = 2.401 Å, I 40
- 39.62 deg, d = 2.275 Å, I 15
- 51.90 deg, d = 1.762 Å, I 16

---

Computed X-ray diffraction stick pattern
Compound: NbGaN
Radiation: CuKα
Structure: a crystal structure in Alexandria, relaxed with PBE
No peak broadening, texture or thermal motion is included.

Atomic structure:
Cell lengths 11.956, 11.956, 11.956 Å; angles 15.39, 15.39, 15.39 degrees
Sites, in units of the cell vectors:
Nb 0.094 0.094 0.094
Nb 0.906 0.906 0.906
Ga 0.363 0.363 0.363
Ga 0.637 0.637 0.637
N 0.217 0.217 0.217
N 0.783 0.783 0.783

Largest 10 diffraction maxima, low angle first, 2θ = 15–90°:
- 15.00 deg, d = 5.906 Å, I 59
- 22.58 deg, d = 3.937 Å, I 21
- 33.87 deg, d = 2.646 Å, I 100
- 34.74 deg, d = 2.582 Å, I 16
- 36.96 deg, d = 2.432 Å, I 91
- 38.09 deg, d = 2.362 Å, I 32
- 43.04 deg, d = 2.102 Å, I 77
- 57.57 deg, d = 1.601 Å, I 41
- 67.21 deg, d = 1.393 Å, I 21
- 71.14 deg, d = 1.325 Å, I 29

---

Computed X-ray diffraction stick pattern
Compound: ZrNbGaN2
Radiation: CuKα
Structure: a crystal structure in Alexandria, relaxed with PBE
No peak broadening, texture or thermal motion is included.

Atomic structure:
Cell lengths 4.020, 4.020, 4.855 Å; angles 90.00, 90.00, 90.00 degrees
Sites, in units of the cell vectors:
Zr 0.000 0.000 0.000
Nb 0.500 0.500 0.000
Ga 0.500 0.500 0.500
N 0.000 0.500 0.500
N 0.500 0.000 0.500

Largest 10 diffraction maxima, low angle first, 2θ = 15–90°:
- 18.27 deg, d = 4.855 Å, I 26
- 22.11 deg, d = 4.020 Å, I 26
- 28.84 deg, d = 3.096 Å, I 23
- 31.47 deg, d = 2.842 Å, I 100
- 36.64 deg, d = 2.453 Å, I 48
- 37.03 deg, d = 2.427 Å, I 49
- 45.11 deg, d = 2.010 Å, I 54
- 49.37 deg, d = 1.846 Å, I 57
- 59.73 deg, d = 1.548 Å, I 45
- 86.41 deg, d = 1.126 Å, I 23